Computed X-ray diffraction stick pattern of Cs2RbHgCl6 for copper Kα, from a GGA-PBE-relaxed structure.

Crystal structure
Cell lengths 11.284, 11.284, 11.284 Å; angles 90.00, 90.00, 90.00 degrees
Space group Fm-3m (No. 225)
One atom of each set of equivalent atoms:
Cs  0.250  0.250  0.250
Rb  0.000  0.000  0.000
Hg  0.000  0.000  0.500
Cl  0.000  0.000  0.269

Principal peaks in the range 10° ≤ 2θ ≤ 90°, sorted by position:
| hkl | two_theta | I/Imax |
| --- | --- | --- |
| 1 1 1 | 13.59 | 17 |
| 2 2 0 | 22.28 | 100 |
| 4 0 0 | 31.72 | 52 |
| 4 2 2 | 39.11 | 46 |
| 4 4 0 | 45.47 | 36 |
| 6 2 0 | 51.20 | 24 |
| 6 4 2 | 61.50 | 27 |
| 6 6 0 | 70.86 | 13 |
| 8 4 0 | 75.34 | 15 |
| 10 2 0 | 88.33 | 15 |

Computed X-ray diffraction stick pattern of Rb2Tb4Cu4S9 for copper Kα, from a GGA-PBE-relaxed structure.

Crystal structure
Cell lengths 13.917, 3.967, 16.010 Å; angles 90.00, 109.27, 90.00 degrees
Space group C2/m (No. 12)
One atom of each set of equivalent atoms:
Rb  0.028  0.000  0.271
Tb  0.154  0.500  0.554
Tb  0.232  0.000  0.104
Cu  0.070  0.500  0.961
Cu  0.248  0.000  0.729
S  0.000  0.000  0.500
S  0.107  0.500  0.125
S  0.138  0.000  0.925
S  0.156  0.500  0.723
S  0.203  0.500  0.399

Principal peaks in the range 10° ≤ 2θ ≤ 90°, sorted by position:
| hkl | two_theta | I/Imax |
| --- | --- | --- |
| 2 0 0 | 13.48 | 100 |
| 2 0 -4 | 22.96 | 58 |
| 4 0 -2 | 25.77 | 87 |
| 1 1 2 | 27.27 | 68 |
| 1 1 -3 | 28.05 | 79 |
| 0 0 5 | 29.60 | 96 |
| 3 1 -2 | 30.07 | 53 |
| 3 1 -3 | 31.66 | 49 |
| 3 1 1 | 32.28 | 77 |
| 0 2 0 | 45.75 | 69 |

Computed X-ray diffraction stick pattern of NaHoZnS3 for copper Kα, from a GGA-PBE-relaxed structure.

Crystal structure
Cell lengths 7.920, 3.916, 9.480 Å; angles 90.00, 104.75, 90.00 degrees
Space group P2_1/m (No. 11)
One atom of each set of equivalent atoms:
Na  0.202  0.250  0.206
Ho  0.325  0.750  0.855
Zn  0.081  0.250  0.605
S  0.082  0.250  0.849
S  0.219  0.750  0.542
S  0.440  0.750  0.149

Principal peaks in the range 10° ≤ 2θ ≤ 90°, sorted by position:
| hkl | two_theta | I/Imax |
| --- | --- | --- |
| 1 0 -1 | 13.04 | 100 |
| 1 1 0 | 25.55 | 11 |
| 1 1 1 | 28.42 | 16 |
| 0 0 3 | 29.22 | 15 |
| 0 1 2 | 30.01 | 14 |
| 2 1 -1 | 32.38 | 25 |
| 2 1 0 | 32.70 | 26 |
| 1 1 -3 | 36.79 | 17 |
| 0 2 0 | 46.37 | 11 |
| 2 1 -4 | 46.83 | 18 |

Computed X-ray diffraction stick pattern of Cd2SiP4O14 for copper Kα, from a GGA-PBE-relaxed structure.

Crystal structure
Cell lengths 17.144, 5.081, 12.470 Å; angles 90.00, 103.88, 90.00 degrees
Space group C2/c (No. 15)
One atom of each set of equivalent atoms:
Cd  0.244  0.155  0.132
Si  0.000  0.154  0.750
P  0.114  0.368  0.624
P  0.131  0.184  0.411
O  0.036  0.338  0.668
O  0.068  0.034  0.322
O  0.085  0.213  0.508
O  0.126  0.345  0.107
O  0.142  0.451  0.366
O  0.185  0.215  0.693
O  0.204  0.011  0.450

Principal peaks in the range 10° ≤ 2θ ≤ 90°, sorted by position:
| hkl | two_theta | I/Imax |
| --- | --- | --- |
| 2 0 0 | 10.63 | 100 |
| 3 1 -1 | 23.69 | 26 |
| 3 1 -2 | 25.86 | 46 |
| 3 1 1 | 26.01 | 57 |
| 1 1 -3 | 27.73 | 20 |
| 0 0 4 | 29.51 | 33 |
| 3 1 -3 | 29.79 | 26 |
| 2 0 4 | 33.86 | 17 |
| 5 1 -3 | 35.28 | 19 |
| 0 2 1 | 36.10 | 18 |

Computed X-ray diffraction stick pattern of TaCoAs for copper Kα, from a GGA-PBE-relaxed structure.

Crystal structure
Cell lengths 6.278, 3.736, 7.161 Å; angles 90.00, 90.00, 90.00 degrees
Space group Pnma (No. 62)
One atom of each set of equivalent atoms:
Ta  0.021  0.250  0.170
Co  0.157  0.250  0.569
As  0.216  0.750  0.380

Principal peaks in the range 10° ≤ 2θ ≤ 90°, sorted by position:
| hkl | two_theta | I/Imax |
| --- | --- | --- |
| 1 0 1 | 18.80 | 12 |
| 0 1 1 | 26.92 | 18 |
| 1 1 2 | 37.63 | 97 |
| 2 0 2 | 38.13 | 16 |
| 2 1 1 | 39.56 | 100 |
| 1 0 3 | 40.43 | 33 |
| 3 0 1 | 45.11 | 35 |
| 0 2 0 | 48.75 | 31 |
| 1 2 3 | 65.13 | 16 |
| 3 1 4 | 74.18 | 16 |

Computed X-ray diffraction stick pattern of BaSrCuSiGe2 for copper Kα, from a GGA-PBE-relaxed structure.

Crystal structure
Cell lengths 8.480, 9.619, 14.815 Å; angles 90.00, 90.00, 90.00 degrees
Space group Fmmm (No. 69)
One atom of each set of equivalent atoms:
Ba  0.250  0.250  0.250
Sr  0.000  0.242  0.000
Cu  0.000  0.000  0.331
Si  0.000  0.000  0.167
Ge  0.247  0.000  0.415

Principal peaks in the range 10° ≤ 2θ ≤ 90°, sorted by position:
| hkl | two_theta | I/Imax |
| --- | --- | --- |
| 0 2 4 | 30.46 | 52 |
| 2 2 2 | 30.59 | 100 |
| 0 4 0 | 37.40 | 27 |
| 2 0 6 | 42.36 | 38 |
| 4 0 0 | 42.65 | 18 |
| 0 2 8 | 52.98 | 10 |
| 4 2 4 | 53.31 | 20 |
| 2 4 6 | 57.77 | 29 |
| 4 4 0 | 57.99 | 14 |
| 0 6 4 | 63.25 | 18 |